No. 1
This entry pairs a crystal structure of KScCdCo2 with its simulated PXRD pattern. Radiation: Cu Kα, 1.54184 Å. Structure: a crystal structure in Alexandria, relaxed with GGA-PBE.
No peak broadening, texture or thermal motion is included.

Main lines, by intensity (2θ = 5–70°):
d/Å	Rel. int.	hkl
2.512	100	2 0 0
5.024	79	1 0 0
1.817	71	2 0 2
5.265	71	0 0 1
3.635	63	1 0 1
2.632	57	0 0 2
1.472	34	2 2 2
2.267	34	2 0 1
1.776	33	2 2 0
2.945	28	1 1 1

Crystal structure
abc: 5.024 5.024 5.265
angles: 90.00 90.00 90.00
Space group P4/mmm (No. 123)
Symmetry-distinct sites (fractional):
1 K 0.000 0.000 0.000 [1 per cell]
2 Sc 0.500 0.500 0.000 [1 per cell]
3 Cd 0.500 0.500 0.500 [1 per cell]
4 Co 0.000 0.500 0.500 [2 per cell]

No. 2
This entry pairs a crystal structure of La6CdCo2 with its simulated PXRD pattern. Radiation: Cu Kα, 1.54184 Å. Structure: a crystal structure in Alexandria, relaxed with GGA-PBE.
No peak broadening, texture or thermal motion is included.

Main lines, by intensity (2θ = 5–70°):
d/Å	Rel. int.	hkl
2.895	100	3 1 -1
2.621	84	0 2 0
3.167	70	1 1 2
2.924	39	3 1 0
2.835	27	2 0 -3
3.045	24	0 0 3
2.330	23	3 1 2
1.986	22	0 2 3
2.686	21	3 1 1
2.284	19	0 0 4

Crystal structure
abc: 10.696 5.242 9.246
angles: 90.00 98.93 90.00
Space group C2/m (No. 12)
Symmetry-distinct sites (fractional):
1 La 0.084 0.000 0.362 [4 per cell]
2 La 0.109 0.500 0.664 [4 per cell]
3 La 0.197 0.500 0.122 [4 per cell]
4 Cd 0.000 0.000 0.000 [2 per cell]
5 Co 0.238 0.500 0.381 [4 per cell]

No. 3
This entry pairs a crystal structure of La3CdCo with its simulated PXRD pattern. Radiation: Cu Kα, 1.54184 Å. Structure: a crystal structure in Alexandria, relaxed with GGA-PBE.
No peak broadening, texture or thermal motion is included.

Main lines, by intensity (2θ = 5–70°):
d/Å	Rel. int.	hkl
3.034	100	1 0 -3
2.769	75	-2 1 1
2.753	58	0 2 -2
2.993	32	-1 2 1
3.003	32	1 1 0
3.125	26	0 1 2
1.645	23	-3 1 4
1.955	21	2 1 -3
1.950	21	2 -3 1
3.227	18	1 1 -1

Crystal structure
abc: 5.539 6.564 9.489
angles: 95.78 106.93 114.77
Space group P-1 (No. 2)
Symmetry-distinct sites (fractional):
1 La 0.009 0.362 0.158 [2 per cell]
2 La 0.200 0.327 0.568 [2 per cell]
3 La 0.364 0.979 0.250 [2 per cell]
4 Cd 0.344 0.251 0.939 [2 per cell]
5 Co 0.335 0.729 0.445 [2 per cell]

No. 4
This entry pairs a crystal structure of La3CdCo3 with its simulated PXRD pattern. Radiation: Cu Kα, 1.54184 Å. Structure: a crystal structure in Alexandria, relaxed with GGA-PBE.
No peak broadening, texture or thermal motion is included.

Main lines, by intensity (2θ = 5–70°):
d/Å	Rel. int.	hkl
3.059	100	1 1 1
2.936	72	3 0 0
2.118	59	2 2 1
2.512	50	2 1 1
3.329	48	2 1 0
2.890	46	2 0 1
1.787	45	3 2 1
8.807	40	1 0 0
2.443	28	3 1 0
1.915	26	0 0 2

Crystal structure
abc: 10.1694 10.1694 3.8295
angles: 90.00 90.00 120.00
Space group P6_3/m (No. 176)
Symmetry-distinct sites (fractional):
1 La 0.0556 0.3638 0.2500 [6 per cell]
2 Cd 0.3333 0.6667 0.7500 [2 per cell]
3 Co 0.0223 0.1556 0.7500 [6 per cell]

No. 5
This entry pairs a crystal structure of La5CdCo with its simulated PXRD pattern. Radiation: Cu Kα, 1.54184 Å. Structure: a crystal structure in Alexandria, relaxed with GGA-PBE.
No peak broadening, texture or thermal motion is included.

Main lines, by intensity (2θ = 5–70°):
d/Å	Rel. int.	hkl
2.701	100	1 1 2
2.513	58	2 0 0
3.268	48	1 1 1
1.485	31	3 1 2
1.861	30	2 0 3
2.769	24	0 0 3
1.777	20	2 2 0
1.505	17	1 1 5
1.496	14	2 2 3
1.561	11	3 1 1

Crystal structure
abc: 5.027 5.027 8.307
angles: 90.00 90.00 90.00
Space group P4/mmm (No. 123)
Symmetry-distinct sites (fractional):
1 La 0.000 0.000 0.000 [1 per cell]
2 La 0.000 0.500 0.308 [4 per cell]
3 Cd 0.500 0.500 0.000 [1 per cell]
4 Co 0.000 0.000 0.500 [1 per cell]

No. 6
This entry pairs a crystal structure of La6Cd2CoOs with its simulated PXRD pattern. Radiation: Cu Kα, 1.54184 Å. Structure: a crystal structure in Alexandria, relaxed with GGA-PBE.
No peak broadening, texture or thermal motion is included.

Main lines, by intensity (2θ = 5–70°):
d/Å	Rel. int.	hkl
2.686	100	2 2 -2
3.146	89	0 2 0
2.800	86	0 0 2
3.251	82	1 2 -2
1.935	40	-2 2 2
1.942	36	2 2 0
3.134	32	2 0 -2
2.402	29	1 -3 1
1.819	29	1 -4 2
3.798	27	2 0 -1

Crystal structure
abc: 7.591 7.602 7.744
angles: 119.37 119.04 90.11
Space group P-1 (No. 2)
Symmetry-distinct sites (fractional):
1 La 0.185 0.193 0.494 [2 per cell]
2 La 0.246 0.737 0.999 [2 per cell]
3 La 0.312 0.694 0.514 [2 per cell]
4 Cd 0.247 0.251 0.999 [2 per cell]
5 Co 0.000 0.500 0.500 [1 per cell]
6 Os 0.500 0.000 0.500 [1 per cell]